1.
This entry pairs a crystal structure of BaCaVP2O9 with its computed powder XRD pattern. Radiation: copper Kα. Structure: the GGA+U geometry in the Materials Project.
Lines closer than 0.1° are merged.

Peak list (6 most intense, 15 to 90 degrees two-theta, sorted by position)
(2 0 -2), 2θ = 25.2°, I 32; (2 1 0), 2θ = 27.6°, I 35; (0 1 4), 2θ = 27.8°, I 100; (2 1 -2), 2θ = 28.1°, I 36; (1 1 -4), 2θ = 28.3°, I 48; (1 2 2), 2θ = 31.5°, I 34

```
data_BaCaVP2O9
_cell_length_a 7.410
_cell_length_b 7.160
_cell_length_c 14.648
_cell_angle_alpha 90.00
_cell_angle_beta 101.62
_cell_angle_gamma 90.00
_symmetry_space_group_name_H-M 'P 1 21/c 1'
_symmetry_Int_Tables_number 14
loop_
_symmetry_equiv_pos_as_xyz
'x,y,z'
'-x,-y,-z'
'-x,y+1/2,-z+1/2'
'x,-y+1/2,z+1/2'
loop_
_atom_site_label
_atom_site_type_symbol
_atom_site_fract_x
_atom_site_fract_y
_atom_site_fract_z
Ba1 Ba 0.121 0.234 0.073
Ca1 Ca 0.312 0.019 0.838
V1 V 0.344 0.515 0.834
P1 P 0.038 0.723 0.198
P2 P 0.379 0.726 0.998
O1 O 0.003 0.619 0.626
O2 O 0.133 0.548 0.173
O3 O 0.152 0.715 0.797
O4 O 0.161 0.181 0.281
O5 O 0.242 0.561 0.974
O6 O 0.283 0.583 0.495
O7 O 0.456 0.528 0.747
O8 O 0.479 0.203 0.408
O9 O 0.488 0.723 0.915
```


2.
This entry pairs a crystal structure of Ba2CaV2Si4O14 with its computed powder XRD pattern. Radiation: copper Kα. Structure: the GGA+U geometry in the Materials Project.
Lines closer than 0.1° are merged.

Peak list (6 most intense, 15 to 90 degrees two-theta, sorted by position)
(1 1 1), 2θ = 19.0°, I 76; (1 -1 0), 2θ = 22.5°, I 62; (1 1 2), 2θ = 25.7°, I 79; (0 1 2), 2θ = 26.6°, I 60; (0 2 -1), 2θ = 26.9°, I 85; (2 0 1), 2θ = 30.9°, I 100

```
data_Ba2CaV2Si4O14
_cell_length_a 5.940
_cell_length_b 7.299
_cell_length_c 8.208
_cell_angle_alpha 89.88
_cell_angle_beta 73.43
_cell_angle_gamma 77.54
_symmetry_space_group_name_H-M 'P 1'
_symmetry_Int_Tables_number 1
loop_
_symmetry_equiv_pos_as_xyz
'x,y,z'
loop_
_atom_site_label
_atom_site_type_symbol
_atom_site_fract_x
_atom_site_fract_y
_atom_site_fract_z
Ba1 Ba 0.000 0.000 0.000
Ba2 Ba 0.352 0.510 0.147
Ca1 Ca 0.216 0.723 0.604
V1 V 0.036 0.358 0.737
V2 V 0.290 0.124 0.416
Si1 Si 0.564 0.216 0.786
Si2 Si 0.644 0.774 0.760
Si3 Si 0.707 0.726 0.356
Si4 Si 0.758 0.275 0.379
O1 O 0.046 0.186 0.290
O2 O 0.157 0.070 0.643
O3 O 0.182 0.412 0.514
O4 O 0.277 0.311 0.866
O5 O 0.390 0.714 0.835
O6 O 0.438 0.829 0.342
O7 O 0.606 0.177 0.282
O8 O 0.614 0.994 0.833
O9 O 0.671 0.245 0.583
O10 O 0.687 0.501 0.351
O11 O 0.715 0.779 0.550
O12 O 0.721 0.311 0.884
O13 O 0.883 0.656 0.804
O14 O 0.945 0.750 0.217
```


3.
This entry pairs a crystal structure of Ba2CaV2Si4O14 with its computed powder XRD pattern. Radiation: copper Kα. Structure: the GGA+U geometry in the Materials Project.
Lines closer than 0.1° are merged.

Peak list (6 most intense, 15 to 90 degrees two-theta, sorted by position)
(-1 1 1), 2θ = 18.3°, I 72; (1 1 0), 2θ = 21.5°, I 76; (0 1 -2), 2θ = 25.7°, I 100; (1 1 -2), 2θ = 27.2°, I 83; (0 1 2), 2θ = 27.4°, I 78; (2 0 -1), 2θ = 29.0°, I 88

```
data_Ba2CaV2Si4O14
_cell_length_a 6.313
_cell_length_b 7.573
_cell_length_c 7.993
_cell_angle_alpha 90.24
_cell_angle_beta 108.63
_cell_angle_gamma 102.33
_symmetry_space_group_name_H-M 'P 1'
_symmetry_Int_Tables_number 1
loop_
_symmetry_equiv_pos_as_xyz
'x,y,z'
loop_
_atom_site_label
_atom_site_type_symbol
_atom_site_fract_x
_atom_site_fract_y
_atom_site_fract_z
Ba1 Ba 0.000 0.000 0.000
Ba2 Ba 0.377 0.446 0.795
Ca1 Ca 0.362 0.876 0.564
V1 V 0.036 0.546 0.219
V2 V 0.930 0.029 0.467
Si1 Si 0.561 0.747 0.185
Si2 Si 0.620 0.180 0.155
Si3 Si 0.730 0.275 0.585
Si4 Si 0.794 0.710 0.609
O1 O 0.050 0.841 0.658
O2 O 0.121 0.996 0.351
O3 O 0.196 0.574 0.448
O4 O 0.287 0.659 0.112
O5 O 0.384 0.230 0.050
O6 O 0.532 0.192 0.665
O7 O 0.608 0.957 0.117
O8 O 0.659 0.795 0.412
O9 O 0.662 0.753 0.740
O10 O 0.676 0.185 0.377
O11 O 0.731 0.641 0.133
O12 O 0.782 0.495 0.583
O13 O 0.852 0.291 0.121
O14 O 0.967 0.204 0.676
```


4.
This entry pairs a crystal structure of Ba2CaV2Si4O14 with its computed powder XRD pattern. Radiation: copper Kα. Structure: the GGA+U geometry in the Materials Project.
Lines closer than 0.1° are merged.

Peak list (6 most intense, 15 to 90 degrees two-theta, sorted by position)
(1 1 -1), 2θ = 20.6°, I 38; (0 2 -1), 2θ = 26.1°, I 84; (-1 1 2), 2θ = 26.8°, I 100; (2 0 -1), 2θ = 32.1°, I 52; (1 0 2), 2θ = 33.1°, I 47; (-2 2 1), 2θ = 40.5°, I 62

```
data_Ba2CaV2Si4O14
_cell_length_a 5.573
_cell_length_b 7.445
_cell_length_c 8.229
_cell_angle_alpha 92.37
_cell_angle_beta 109.76
_cell_angle_gamma 90.04
_symmetry_space_group_name_H-M 'P 1'
_symmetry_Int_Tables_number 1
loop_
_symmetry_equiv_pos_as_xyz
'x,y,z'
loop_
_atom_site_label
_atom_site_type_symbol
_atom_site_fract_x
_atom_site_fract_y
_atom_site_fract_z
Ba1 Ba 0.000 0.000 0.000
Ba2 Ba 0.416 0.516 0.834
Ca1 Ca 0.142 0.258 0.418
V1 V 0.108 0.551 0.199
V2 V 0.325 0.964 0.634
Si1 Si 0.581 0.236 0.206
Si2 Si 0.609 0.796 0.211
Si3 Si 0.790 0.280 0.628
Si4 Si 0.814 0.720 0.622
O1 O 0.075 0.196 0.686
O2 O 0.104 0.800 0.718
O3 O 0.209 0.974 0.401
O4 O 0.225 0.542 0.432
O5 O 0.297 0.319 0.127
O6 O 0.325 0.710 0.112
O7 O 0.572 0.014 0.160
O8 O 0.583 0.197 0.706
O9 O 0.630 0.806 0.722
O10 O 0.674 0.258 0.417
O11 O 0.713 0.758 0.417
O12 O 0.803 0.715 0.116
O13 O 0.808 0.319 0.148
O14 O 0.828 0.502 0.674
```


5.
This entry pairs a crystal structure of Ba2CaV2Si4O14 with its computed powder XRD pattern. Radiation: copper Kα. Structure: the GGA+U geometry in the Materials Project.
Lines closer than 0.1° are merged.

Peak list (6 most intense, 15 to 90 degrees two-theta, sorted by position)
(0 0 2), 2θ = 23.1°, I 80; (1 0 1), 2θ = 23.3°, I 76; (1 -2 0), 2θ = 27.8°, I 100; (1 2 -1), 2θ = 28.0°, I 99; (2 0 -1), 2θ = 31.4°, I 91; (1 0 -3), 2θ = 33.1°, I 97

```
data_Ba2CaV2Si4O14
_cell_length_a 5.701
_cell_length_b 7.715
_cell_length_c 8.455
_cell_angle_alpha 104.04
_cell_angle_beta 109.49
_cell_angle_gamma 90.36
_symmetry_space_group_name_H-M 'P 1'
_symmetry_Int_Tables_number 1
loop_
_symmetry_equiv_pos_as_xyz
'x,y,z'
loop_
_atom_site_label
_atom_site_type_symbol
_atom_site_fract_x
_atom_site_fract_y
_atom_site_fract_z
Ba1 Ba 0.000 0.000 0.000
Ba2 Ba 0.349 0.633 0.713
Ca1 Ca 0.373 0.204 0.763
V1 V 0.043 0.516 0.081
V2 V 0.222 0.876 0.434
Si1 Si 0.565 0.806 0.128
Si2 Si 0.579 0.247 0.150
Si3 Si 0.770 0.824 0.541
Si4 Si 0.776 0.401 0.569
O1 O 0.053 0.361 0.674
O2 O 0.060 0.924 0.624
O3 O 0.168 0.042 0.331
O4 O 0.172 0.643 0.345
O5 O 0.279 0.713 0.033
O6 O 0.299 0.297 0.052
O7 O 0.552 0.016 0.097
O8 O 0.567 0.925 0.627
O9 O 0.576 0.358 0.653
O10 O 0.664 0.816 0.336
O11 O 0.689 0.315 0.359
O12 O 0.753 0.711 0.033
O13 O 0.759 0.297 0.049
O14 O 0.793 0.629 0.590
```


6.
This entry pairs a crystal structure of BaSrCaWO6 with its computed powder XRD pattern. Radiation: copper Kα. Structure: the GGA+U geometry in the Materials Project.
Lines closer than 0.1° are merged.

Peak list (6 most intense, 15 to 90 degrees two-theta, sorted by position)
(1 0 1), 2θ = 18.0°, I 39; (1 1 2), 2θ = 29.5°, I 100; (2 0 0), 2θ = 30.0°, I 59; (2 2 0), 2θ = 43.0°, I 26; (2 0 4), 2θ = 52.0°, I 25; (3 1 2), 2θ = 53.0°, I 46

```
data_BaSrCaWO6
_cell_length_a 5.950
_cell_length_b 5.950
_cell_length_c 8.720
_cell_angle_alpha 90.00
_cell_angle_beta 90.00
_cell_angle_gamma 90.00
_symmetry_space_group_name_H-M 'P -4 n 2'
_symmetry_Int_Tables_number 118
loop_
_symmetry_equiv_pos_as_xyz
'x,y,z'
'y,-x,-z'
'-x,-y,z'
'-y,x,-z'
'-x+1/2,y+1/2,z+1/2'
'-y+1/2,-x+1/2,-z+1/2'
'x+1/2,-y+1/2,z+1/2'
'y+1/2,x+1/2,-z+1/2'
loop_
_atom_site_label
_atom_site_type_symbol
_atom_site_fract_x
_atom_site_fract_y
_atom_site_fract_z
Ba1 Ba 0.000 0.500 0.250
Sr1 Sr 0.000 0.000 0.000
Ca1 Ca 0.000 0.500 0.750
W1 W 0.000 0.000 0.500
O1 O 0.000 0.000 0.274
O2 O 0.139 0.296 0.521
```


7.
This entry pairs a crystal structure of Ba8Sr3CaW4O24 with its computed powder XRD pattern. Radiation: copper Kα. Structure: the GGA+U geometry in the Materials Project.
Lines closer than 0.1° are merged.

Peak list (6 most intense, 15 to 90 degrees two-theta, sorted by position)
(0 0 2), 2θ = 17.7°, I 21; (2 0 1), 2θ = 29.0°, I 100; (1 3 1), 2θ = 29.3°, I 100; (2 2 4), 2θ = 41.7°, I 56; (3 1 -1), 2θ = 51.4°, I 22; (3 3 2), 2θ = 51.6°, I 42

```
data_Ba8Sr3CaW4O24
_cell_length_a 6.155
_cell_length_b 10.528
_cell_length_c 10.635
_cell_angle_alpha 81.00
_cell_angle_beta 73.19
_cell_angle_gamma 90.00
_symmetry_space_group_name_H-M 'P -1'
_symmetry_Int_Tables_number 2
loop_
_symmetry_equiv_pos_as_xyz
'x,y,z'
'-x,-y,-z'
loop_
_atom_site_label
_atom_site_type_symbol
_atom_site_fract_x
_atom_site_fract_y
_atom_site_fract_z
Ba1 Ba 0.061 0.182 0.377
Ba2 Ba 0.187 0.565 0.126
Ba3 Ba 0.316 0.935 0.869
Ba4 Ba 0.439 0.312 0.624
Sr1 Sr 0.000 0.500 0.500
Sr2 Sr 0.251 0.250 0.999
Ca1 Ca 0.500 0.000 0.500
W1 W 0.123 0.877 0.253
W2 W 0.377 0.628 0.748
O1 O 0.081 0.196 0.832
O2 O 0.115 0.673 0.888
O3 O 0.122 0.708 0.361
O4 O 0.125 0.045 0.145
O5 O 0.148 0.078 0.611
O6 O 0.168 0.556 0.666
O7 O 0.326 0.947 0.343
O8 O 0.363 0.418 0.390
O9 O 0.376 0.459 0.858
O10 O 0.383 0.798 0.637
O11 O 0.386 0.833 0.115
O12 O 0.419 0.301 0.167
```


8.
This entry pairs a crystal structure of BaSrCaWO6 with its computed powder XRD pattern. Radiation: copper Kα. Structure: the GGA+U geometry in the Materials Project.
Lines closer than 0.1° are merged.

Peak list (6 most intense, 15 to 90 degrees two-theta, sorted by position)
(1 1 0), 2θ = 18.3°, I 45; (1 1 1), 2θ = 29.9°, I 100; (0 2 0), 2θ = 30.0°, I 34; (3 1 -1), 2θ = 30.1°, I 67; (2 2 -2), 2θ = 42.8°, I 40; (5 1 -3), 2θ = 53.4°, I 44

```
data_BaSrCaWO6
_cell_length_a 10.255
_cell_length_b 5.959
_cell_length_c 5.986
_cell_angle_alpha 90.00
_cell_angle_beta 125.05
_cell_angle_gamma 90.00
_symmetry_space_group_name_H-M 'C 1 m 1'
_symmetry_Int_Tables_number 8
loop_
_symmetry_equiv_pos_as_xyz
'x,y,z'
'x,-y,z'
'x+1/2,y+1/2,z'
'x+1/2,-y+1/2,z'
loop_
_atom_site_label
_atom_site_type_symbol
_atom_site_fract_x
_atom_site_fract_y
_atom_site_fract_z
Ba1 Ba 0.000 0.000 0.000
Sr1 Sr 0.497 0.000 0.478
Ca1 Ca 0.250 0.000 0.746
W1 W 0.250 0.500 0.247
O1 O 0.024 0.500 0.935
O2 O 0.209 0.277 0.442
O3 O 0.289 0.259 0.069
O4 O 0.478 0.500 0.533
```


9.
This entry pairs a crystal structure of BaSrCaWO6 with its computed powder XRD pattern. Radiation: copper Kα. Structure: the GGA+U geometry in the Materials Project.
Lines closer than 0.1° are merged.

Peak list (6 most intense, 15 to 90 degrees two-theta, sorted by position)
(0 1 1), 2θ = 18.0°, I 33; (1 1 -2), 2θ = 29.4°, I 100; (-1 1 2), 2θ = 29.5°, I 54; (1 -1 2), 2θ = 29.7°, I 55; (2 0 0), 2θ = 29.9°, I 97; (2 2 0), 2θ = 42.5°, I 48

```
data_BaSrCaWO6
_cell_length_a 5.960
_cell_length_b 6.072
_cell_length_c 8.568
_cell_angle_alpha 90.54
_cell_angle_beta 90.97
_cell_angle_gamma 90.10
_symmetry_space_group_name_H-M 'P -1'
_symmetry_Int_Tables_number 2
loop_
_symmetry_equiv_pos_as_xyz
'x,y,z'
'-x,-y,-z'
loop_
_atom_site_label
_atom_site_type_symbol
_atom_site_fract_x
_atom_site_fract_y
_atom_site_fract_z
Ba1 Ba 0.003 0.042 0.252
Sr1 Sr 0.000 0.500 0.500
Sr2 Sr 0.500 0.000 0.000
Ca1 Ca 0.486 0.542 0.256
W1 W 0.000 0.500 0.000
W2 W 0.500 0.000 0.500
O1 O 0.126 0.505 0.786
O2 O 0.172 0.766 0.048
O3 O 0.226 0.828 0.474
O4 O 0.260 0.328 0.074
O5 O 0.342 0.273 0.435
O6 O 0.431 0.071 0.718
```


10.
This entry pairs a crystal structure of BaSrCaWO6 with its computed powder XRD pattern. Radiation: copper Kα. Structure: the GGA+U geometry in the Materials Project.
Lines closer than 0.1° are merged.

Peak list (6 most intense, 15 to 90 degrees two-theta, sorted by position)
(1 1 1), 2θ = 18.2°, I 32; (2 2 0), 2θ = 29.9°, I 100; (4 0 0), 2θ = 42.8°, I 32; (4 2 2), 2θ = 53.1°, I 40; (4 4 0), 2θ = 62.1°, I 19; (6 4 2), 2θ = 86.1°, I 22

```
data_BaSrCaWO6
_cell_length_a 8.451
_cell_length_b 8.451
_cell_length_c 8.451
_cell_angle_alpha 90.00
_cell_angle_beta 90.00
_cell_angle_gamma 90.00
_symmetry_space_group_name_H-M 'F -4 3 m'
_symmetry_Int_Tables_number 216
_symmetry_space_group_name_Hall 'F -4 2 3'
loop_
_atom_site_label
_atom_site_type_symbol
_atom_site_fract_x
_atom_site_fract_y
_atom_site_fract_z
Ba1 Ba 0.000 0.000 0.000
Sr1 Sr 0.000 0.000 0.500
Ca1 Ca 0.250 0.250 0.250
W1 W 0.250 0.250 0.750
O1 O 0.019 0.250 0.750
```